No. 1
Calculated X-ray diffraction stick pattern
Compound: Be5Pd6
Radiation: CuKα
Structure: DFT lattice parameters and positions (GGA-PBE)
Peak positions follow from Bragg's law for the DFT cell and can differ from measured ones.

Structure:
```
data_Be5Pd6
_cell_length_a 3.975
_cell_length_b 5.602
_cell_length_c 11.849
_cell_angle_alpha 90.00
_cell_angle_beta 90.00
_cell_angle_gamma 90.00
_symmetry_space_group_name_H-M 'I m m m'
_symmetry_Int_Tables_number 71
_symmetry_space_group_name_Hall '-I 2 2'
loop_
_atom_site_label
_atom_site_type_symbol
_atom_site_fract_x
_atom_site_fract_y
_atom_site_fract_z
Be1 Be 0.000 0.000 0.000
Be2 Be 0.000 0.000 0.330
Be3 Be 0.000 0.500 0.335
Pd1 Pd 0.000 0.247 0.500
Pd2 Pd 0.000 0.252 0.166
```

The 12 most intense peaks (2θ from 10° to 90°), low angle first:
(1 0 3), 2θ = 31.9°, intensity 1000
(2 0 0), 2θ = 45.6°, intensity 147
(1 2 3), 2θ = 45.8°, intensity 581
(0 0 6), 2θ = 46.0°, intensity 144
(2 2 0), 2θ = 56.8°, intensity 127
(0 2 6), 2θ = 57.1°, intensity 125
(2 0 6), 2θ = 66.8°, intensity 138
(3 0 3), 2θ = 75.7°, intensity 53
(2 2 6), 2θ = 75.9°, intensity 105
(1 4 3), 2θ = 76.0°, intensity 104
(3 2 3), 2θ = 84.5°, intensity 96
(1 2 9), 2θ = 84.9°, intensity 143

***

No. 2
Calculated X-ray diffraction stick pattern
Compound: Pa2NiP4
Radiation: CuKα
Structure: DFT lattice parameters and positions (GGA-PBE)
Peak positions follow from Bragg's law for the DFT cell and can differ from measured ones.

Structure:
```
data_Pa2NiP4
_cell_length_a 3.852
_cell_length_b 3.852
_cell_length_c 8.556
_cell_angle_alpha 90.00
_cell_angle_beta 90.00
_cell_angle_gamma 90.00
_symmetry_space_group_name_H-M 'P -4 m 2'
_symmetry_Int_Tables_number 115
loop_
_symmetry_equiv_pos_as_xyz
'x,y,z'
'y,-x,-z'
'-x,-y,z'
'-y,x,-z'
'-x,y,z'
'-y,-x,-z'
'x,-y,z'
'y,x,-z'
loop_
_atom_site_label
_atom_site_type_symbol
_atom_site_fract_x
_atom_site_fract_y
_atom_site_fract_z
Pa1 Pa 0.000 0.500 0.247
Ni1 Ni 0.500 0.500 0.000
P1 P 0.000 0.000 0.500
P2 P 0.000 0.500 0.858
P3 P 0.500 0.500 0.500
```

The 12 most intense peaks (2θ from 10° to 90°), low angle first:
(0 0 2), 2θ = 20.8°, intensity 233
(1 0 1), 2θ = 25.4°, intensity 876
(1 1 0), 2θ = 32.9°, intensity 205
(1 1 2), 2θ = 39.2°, intensity 1000
(0 0 4), 2θ = 42.3°, intensity 95
(2 0 0), 2θ = 47.2°, intensity 206
(2 1 1), 2θ = 54.3°, intensity 234
(1 0 5), 2θ = 59.1°, intensity 139
(2 1 3), 2θ = 63.0°, intensity 205
(2 0 4), 2θ = 65.2°, intensity 107
(2 1 5), 2θ = 78.8°, intensity 123
(3 1 2), 2θ = 82.3°, intensity 194

***

No. 3
Calculated X-ray diffraction stick pattern
Compound: Tm3InCo8
Radiation: CuKα
Structure: DFT lattice parameters and positions (GGA-PBE)
Peak positions follow from Bragg's law for the DFT cell and can differ from measured ones.

Structure:
```
data_Tm3InCo8
_cell_length_a 4.9877
_cell_length_b 4.9877
_cell_length_c 24.5912
_cell_angle_alpha 90.00
_cell_angle_beta 90.00
_cell_angle_gamma 120.00
_symmetry_space_group_name_H-M 'R 3 m'
_symmetry_Int_Tables_number 160
_symmetry_space_group_name_Hall 'R 3 -2"'
loop_
_atom_site_label
_atom_site_type_symbol
_atom_site_fract_x
_atom_site_fract_y
_atom_site_fract_z
Tm1 Tm 0.0000 0.0000 0.0000
Tm2 Tm 0.0000 0.0000 0.1268
Tm3 Tm 0.0000 0.0000 0.6214
In1 In 0.0000 0.0000 0.4985
Co1 Co 0.0000 0.0000 0.3122
Co2 Co 0.0000 0.0000 0.8121
Co3 Co 0.0005 0.5002 0.0624
Co4 Co 0.9997 0.4998 0.5616
```

The 12 most intense peaks (2θ from 10° to 90°), low angle first:
(0 1 2), 2θ = 21.8°, intensity 142
(0 1 8), 2θ = 35.9°, intensity 434
(1 1 0), 2θ = 36.0°, intensity 434
(1 0 10), 2θ = 42.3°, intensity 339
(2 0 2), 2θ = 42.5°, intensity 1000
(0 2 4), 2θ = 44.5°, intensity 153
(1 0 16), 2θ = 64.3°, intensity 77
(1 2 8), 2θ = 64.6°, intensity 156
(3 0 0), 2θ = 64.7°, intensity 78
(2 1 10), 2θ = 69.1°, intensity 301
(0 2 16), 2θ = 76.0°, intensity 145
(2 2 0), 2θ = 76.4°, intensity 147

***

No. 4
Calculated X-ray diffraction stick pattern
Compound: Na2Hg3Pb
Radiation: CuKα
Structure: DFT lattice parameters and positions (GGA-PBE)
Peak positions follow from Bragg's law for the DFT cell and can differ from measured ones.

Structure:
```
data_Na2Hg3Pb
_cell_length_a 3.570
_cell_length_b 3.570
_cell_length_c 12.541
_cell_angle_alpha 90.00
_cell_angle_beta 90.00
_cell_angle_gamma 90.00
_symmetry_space_group_name_H-M 'P 4/m m m'
_symmetry_Int_Tables_number 123
_symmetry_space_group_name_Hall '-P 4 2'
loop_
_atom_site_label
_atom_site_type_symbol
_atom_site_fract_x
_atom_site_fract_y
_atom_site_fract_z
Na1 Na 0.000 0.000 0.165
Hg1 Hg 0.500 0.500 0.000
Hg2 Hg 0.500 0.500 0.319
Pb1 Pb 0.000 0.000 0.500
```

The 12 most intense peaks (2θ from 10° to 90°), low angle first:
(0 0 3), 2θ = 21.3°, intensity 114
(1 0 0), 2θ = 24.9°, intensity 170
(1 0 1), 2θ = 26.0°, intensity 114
(1 0 2), 2θ = 28.8°, intensity 114
(1 0 3), 2θ = 33.0°, intensity 1000
(1 1 0), 2θ = 35.6°, intensity 424
(1 1 3), 2θ = 41.8°, intensity 84
(0 0 6), 2θ = 43.3°, intensity 108
(2 0 0), 2θ = 51.2°, intensity 153
(1 1 6), 2θ = 57.2°, intensity 191
(2 1 3), 2θ = 62.3°, intensity 329
(2 0 6), 2θ = 69.2°, intensity 109

***

No. 5
Calculated X-ray diffraction stick pattern
Compound: Tb3Nd3Sc
Radiation: CuKα
Structure: DFT lattice parameters and positions (GGA-PBE)
Peak positions follow from Bragg's law for the DFT cell and can differ from measured ones.

Structure:
```
data_Tb3Nd3Sc
_cell_length_a 9.5939
_cell_length_b 9.5939
_cell_length_c 5.7119
_cell_angle_alpha 90.00
_cell_angle_beta 90.00
_cell_angle_gamma 120.00
_symmetry_space_group_name_H-M 'P 63/m'
_symmetry_Int_Tables_number 176
_symmetry_space_group_name_Hall '-P 6c'
loop_
_atom_site_label
_atom_site_type_symbol
_atom_site_fract_x
_atom_site_fract_y
_atom_site_fract_z
Tb1 Tb 0.0500 0.2391 0.2500
Nd1 Nd 0.0967 0.4774 0.7500
Sc1 Sc 0.3333 0.6667 0.2500
```

The 12 most intense peaks (2θ from 10° to 90°), low angle first:
(1 0 0), 2θ = 10.6°, intensity 40
(2 1 0), 2θ = 28.4°, intensity 237
(0 0 2), 2θ = 31.3°, intensity 243
(2 1 1), 2θ = 32.5°, intensity 1000
(2 1 2), 2θ = 42.8°, intensity 156
(1 4 0), 2θ = 50.3°, intensity 196
(2 1 3), 2θ = 56.5°, intensity 207
(1 4 2), 2θ = 60.5°, intensity 225
(4 2 1), 2θ = 61.2°, intensity 162
(4 2 3), 2θ = 79.0°, intensity 77
(7 0 1), 2θ = 83.1°, intensity 136
(1 4 4), 2θ = 86.8°, intensity 84

***

No. 6
Calculated X-ray diffraction stick pattern
Compound: NdNiC
Radiation: CuKα
Structure: DFT lattice parameters and positions (GGA-PBE)
Peak positions follow from Bragg's law for the DFT cell and can differ from measured ones.

Structure:
```
data_NdNiC
_cell_length_a 3.948
_cell_length_b 3.989
_cell_length_c 6.583
_cell_angle_alpha 101.33
_cell_angle_beta 100.38
_cell_angle_gamma 95.18
_symmetry_space_group_name_H-M 'P -1'
_symmetry_Int_Tables_number 2
loop_
_symmetry_equiv_pos_as_xyz
'x,y,z'
'-x,-y,-z'
loop_
_atom_site_label
_atom_site_type_symbol
_atom_site_fract_x
_atom_site_fract_y
_atom_site_fract_z
Nd1 Nd 0.169 0.407 0.242
Ni1 Ni 0.286 0.037 0.624
C1 C 0.447 0.055 0.912
```

The 12 most intense peaks (2θ from 10° to 90°), low angle first:
(1 0 -1), 2θ = 24.5°, intensity 311
(0 0 2), 2θ = 28.2°, intensity 599
(0 1 1), 2θ = 29.5°, intensity 492
(0 1 -2), 2θ = 32.4°, intensity 467
(1 -1 1), 2θ = 33.6°, intensity 700
(-1 1 1), 2θ = 33.8°, intensity 1000
(1 1 0), 2θ = 34.9°, intensity 509
(1 1 -2), 2θ = 38.5°, intensity 421
(1 0 2), 2θ = 40.4°, intensity 265
(1 0 -3), 2θ = 44.6°, intensity 340
(0 2 -1), 2θ = 45.9°, intensity 296
(2 0 -1), 2θ = 46.4°, intensity 290

***

No. 7
Calculated X-ray diffraction stick pattern
Compound: BaAl2Te4
Radiation: CuKα
Structure: DFT lattice parameters and positions (GGA-PBE)
Peak positions follow from Bragg's law for the DFT cell and can differ from measured ones.

Structure:
```
data_BaAl2Te4
_cell_length_a 8.811
_cell_length_b 8.811
_cell_length_c 6.558
_cell_angle_alpha 90.00
_cell_angle_beta 90.00
_cell_angle_gamma 90.00
_symmetry_space_group_name_H-M 'I 4/m'
_symmetry_Int_Tables_number 87
_symmetry_space_group_name_Hall '-I 4'
loop_
_atom_site_label
_atom_site_type_symbol
_atom_site_fract_x
_atom_site_fract_y
_atom_site_fract_z
Ba1 Ba 0.000 0.000 0.000
Al1 Al 0.000 0.500 0.250
Te1 Te 0.141 0.310 0.500
```

The 12 most intense peaks (2θ from 10° to 90°), low angle first:
(2 1 1), 2θ = 26.4°, intensity 1000
(0 0 2), 2θ = 27.2°, intensity 211
(2 2 0), 2θ = 28.7°, intensity 77
(1 3 0), 2θ = 32.1°, intensity 209
(1 3 2), 2θ = 42.6°, intensity 311
(1 4 1), 2θ = 44.6°, intensity 110
(4 2 0), 2θ = 46.1°, intensity 92
(2 1 3), 2θ = 47.6°, intensity 198
(5 0 1), 2θ = 53.9°, intensity 169
(4 2 2), 2θ = 54.3°, intensity 66
(1 4 3), 2θ = 60.6°, intensity 60
(3 5 2), 2θ = 68.4°, intensity 131

***

No. 8
Calculated X-ray diffraction stick pattern
Compound: Sm5Pa3Se8
Radiation: CuKα
Structure: DFT lattice parameters and positions (GGA-PBE)
Peak positions follow from Bragg's law for the DFT cell and can differ from measured ones.

Structure:
```
data_Sm5Pa3Se8
_cell_length_a 8.1903
_cell_length_b 8.1903
_cell_length_c 20.6274
_cell_angle_alpha 90.00
_cell_angle_beta 90.00
_cell_angle_gamma 120.00
_symmetry_space_group_name_H-M 'R -3 m'
_symmetry_Int_Tables_number 166
_symmetry_space_group_name_Hall '-R 3 2"'
loop_
_atom_site_label
_atom_site_type_symbol
_atom_site_fract_x
_atom_site_fract_y
_atom_site_fract_z
Sm1 Sm 0.0000 0.0000 0.0000
Sm2 Sm 0.0000 0.0000 0.5000
Sm3 Sm 0.0000 0.5000 0.0000
Pa1 Pa 0.0000 0.5000 0.5000
Se1 Se 0.0000 0.0000 0.2491
Se2 Se 0.0020 0.5010 0.7508
```

The 12 most intense peaks (2θ from 10° to 90°), low angle first:
(0 0 6), 2θ = 25.9°, intensity 72
(2 0 2), 2θ = 26.6°, intensity 203
(0 2 4), 2θ = 30.6°, intensity 1000
(2 0 8), 2θ = 43.4°, intensity 385
(2 2 0), 2θ = 44.2°, intensity 364
(2 2 6), 2θ = 52.0°, intensity 70
(0 0 12), 2θ = 53.3°, intensity 70
(4 0 4), 2θ = 54.7°, intensity 195
(0 4 8), 2θ = 63.7°, intensity 124
(2 2 12), 2θ = 71.7°, intensity 175
(2 4 4), 2θ = 72.9°, intensity 167
(4 2 8), 2θ = 80.8°, intensity 128

***

No. 9
Calculated X-ray diffraction stick pattern
Compound: Cs5Tl4Te4
Radiation: CuKα
Structure: DFT lattice parameters and positions (GGA-PBE)
Peak positions follow from Bragg's law for the DFT cell and can differ from measured ones.

Structure:
```
data_Cs5Tl4Te4
_cell_length_a 14.713
_cell_length_b 14.713
_cell_length_c 5.555
_cell_angle_alpha 90.00
_cell_angle_beta 90.00
_cell_angle_gamma 90.00
_symmetry_space_group_name_H-M 'I 4/m'
_symmetry_Int_Tables_number 87
_symmetry_space_group_name_Hall '-I 4'
loop_
_atom_site_label
_atom_site_type_symbol
_atom_site_fract_x
_atom_site_fract_y
_atom_site_fract_z
Cs1 Cs 0.000 0.000 0.000
Cs2 Cs 0.137 0.212 0.500
Tl1 Tl 0.065 0.598 0.500
Te1 Te 0.050 0.742 0.000
```

The 12 most intense peaks (2θ from 10° to 90°), low angle first:
(3 0 1), 2θ = 24.2°, intensity 115
(2 3 1), 2θ = 27.1°, intensity 1000
(1 4 1), 2θ = 29.8°, intensity 218
(5 1 0), 2θ = 31.0°, intensity 273
(0 0 2), 2θ = 32.2°, intensity 243
(3 4 1), 2θ = 34.5°, intensity 309
(2 4 2), 2θ = 42.6°, intensity 95
(5 1 2), 2θ = 45.3°, intensity 191
(2 8 0), 2θ = 51.2°, intensity 118
(6 6 0), 2θ = 52.8°, intensity 137
(2 3 3), 2θ = 54.4°, intensity 133
(4 6 2), 2θ = 55.9°, intensity 115

***

No. 10
Calculated X-ray diffraction stick pattern
Compound: Ti4SiP
Radiation: CuKα
Structure: DFT lattice parameters and positions (GGA-PBE)
Peak positions follow from Bragg's law for the DFT cell and can differ from measured ones.

Structure:
```
data_Ti4SiP
_cell_length_a 6.043
_cell_length_b 6.043
_cell_length_c 4.951
_cell_angle_alpha 90.00
_cell_angle_beta 90.00
_cell_angle_gamma 90.00
_symmetry_space_group_name_H-M 'P 4/m c c'
_symmetry_Int_Tables_number 124
_symmetry_space_group_name_Hall '-P 4 2c'
loop_
_atom_site_label
_atom_site_type_symbol
_atom_site_fract_x
_atom_site_fract_y
_atom_site_fract_z
Ti1 Ti 0.153 0.340 0.000
Si1 Si 0.500 0.500 0.250
P1 P 0.000 0.000 0.250
```

The 12 most intense peaks (2θ from 10° to 90°), low angle first:
(0 0 2), 2θ = 36.3°, intensity 115
(2 1 1), 2θ = 37.9°, intensity 1000
(1 1 2), 2θ = 42.2°, intensity 235
(2 2 0), 2θ = 42.3°, intensity 63
(2 0 2), 2θ = 47.5°, intensity 204
(3 1 0), 2θ = 47.6°, intensity 307
(2 1 3), 2θ = 66.4°, intensity 163
(4 1 1), 2θ = 66.5°, intensity 94
(4 2 0), 2θ = 69.6°, intensity 43
(4 0 2), 2θ = 73.4°, intensity 108
(3 3 2), 2θ = 77.3°, intensity 144
(5 2 1), 2θ = 89.6°, intensity 94

***

No. 11
Calculated X-ray diffraction stick pattern
Compound: Tb5PuTl8
Radiation: CuKα
Structure: DFT lattice parameters and positions (GGA-PBE)
Peak positions follow from Bragg's law for the DFT cell and can differ from measured ones.

Structure:
```
data_Tb5PuTl8
_cell_length_a 9.295
_cell_length_b 9.295
_cell_length_c 9.368
_cell_angle_alpha 90.00
_cell_angle_beta 90.00
_cell_angle_gamma 90.00
_symmetry_space_group_name_H-M 'I -4'
_symmetry_Int_Tables_number 82
loop_
_symmetry_equiv_pos_as_xyz
'x,y,z'
'y,-x,-z'
'-x,-y,z'
'-y,x,-z'
'x+1/2,y+1/2,z+1/2'
'y+1/2,-x+1/2,-z+1/2'
'-x+1/2,-y+1/2,z+1/2'
'-y+1/2,x+1/2,-z+1/2'
loop_
_atom_site_label
_atom_site_type_symbol
_atom_site_fract_x
_atom_site_fract_y
_atom_site_fract_z
Tb1 Tb 0.000 0.000 0.000
Tb2 Tb 0.128 0.250 0.377
Pu1 Pu 0.000 0.500 0.750
Tl1 Tl 0.082 0.165 0.707
Tl2 Tl 0.083 0.333 0.046
```

The 12 most intense peaks (2θ from 10° to 90°), low angle first:
(2 1 1), 2θ = 23.4°, intensity 174
(1 0 3), 2θ = 30.2°, intensity 543
(3 0 1), 2θ = 30.4°, intensity 1000
(2 1 3), 2θ = 36.0°, intensity 407
(2 3 1), 2θ = 36.1°, intensity 980
(4 2 0), 2θ = 43.5°, intensity 121
(3 2 3), 2θ = 45.7°, intensity 129
(2 2 4), 2θ = 47.7°, intensity 127
(2 4 2), 2θ = 47.9°, intensity 222
(5 2 3), 2θ = 61.4°, intensity 151
(6 1 1), 2θ = 61.5°, intensity 152
(2 6 0), 2θ = 63.3°, intensity 130

***

No. 12
Calculated X-ray diffraction stick pattern
Compound: Er5Mg2Tc
Radiation: CuKα
Structure: DFT lattice parameters and positions (GGA-PBE)
Peak positions follow from Bragg's law for the DFT cell and can differ from measured ones.

Structure:
```
data_Er5Mg2Tc
_cell_length_a 6.523
_cell_length_b 12.370
_cell_length_c 5.127
_cell_angle_alpha 90.00
_cell_angle_beta 90.00
_cell_angle_gamma 90.00
_symmetry_space_group_name_H-M 'P b a m'
_symmetry_Int_Tables_number 55
loop_
_symmetry_equiv_pos_as_xyz
'x,y,z'
'-x,-y,-z'
'-x,-y,z'
'x,y,-z'
'x+1/2,-y+1/2,-z'
'-x+1/2,y+1/2,z'
'-x+1/2,y+1/2,-z'
'x+1/2,-y+1/2,z'
loop_
_atom_site_label
_atom_site_type_symbol
_atom_site_fract_x
_atom_site_fract_y
_atom_site_fract_z
Er1 Er 0.000 0.000 0.000
Er2 Er 0.118 0.284 0.000
Er3 Er 0.158 0.602 0.500
Mg1 Mg 0.144 0.865 0.500
Tc1 Tc 0.000 0.500 0.000
```

The 12 most intense peaks (2θ from 10° to 90°), low angle first:
(1 2 1), 2θ = 26.4°, intensity 512
(2 2 0), 2θ = 31.0°, intensity 171
(1 4 0), 2θ = 32.0°, intensity 169
(2 0 1), 2θ = 32.5°, intensity 295
(2 1 1), 2θ = 33.4°, intensity 818
(0 4 1), 2θ = 33.8°, intensity 890
(0 0 2), 2θ = 35.0°, intensity 1000
(2 2 1), 2θ = 35.7°, intensity 177
(2 3 2), 2θ = 50.4°, intensity 294
(3 5 1), 2θ = 59.4°, intensity 172
(4 2 1), 2θ = 61.5°, intensity 186
(0 4 3), 2θ = 62.0°, intensity 172

***

No. 13
Calculated X-ray diffraction stick pattern
Compound: Pm2Be7Pd12
Radiation: CuKα
Structure: DFT lattice parameters and positions (GGA-PBE)
Peak positions follow from Bragg's law for the DFT cell and can differ from measured ones.

Structure:
```
data_Pm2Be7Pd12
_cell_length_a 9.5551
_cell_length_b 9.5551
_cell_length_c 3.8223
_cell_angle_alpha 90.00
_cell_angle_beta 90.00
_cell_angle_gamma 120.00
_symmetry_space_group_name_H-M 'P -6'
_symmetry_Int_Tables_number 174
loop_
_symmetry_equiv_pos_as_xyz
'x,y,z'
'-x+y,-x,-z'
'-y,x-y,z'
'x,y,-z'
'-x+y,-x,z'
'-y,x-y,-z'
loop_
_atom_site_label
_atom_site_type_symbol
_atom_site_fract_x
_atom_site_fract_y
_atom_site_fract_z
Pm1 Pm 0.0000 0.0000 0.0000
Pm2 Pm 0.3333 0.6667 0.5000
Be1 Be 0.0525 0.6257 0.0000
Be2 Be 0.2810 0.0507 0.5000
Be3 Be 0.6667 0.3333 0.5000
Pd1 Pd 0.0420 0.7793 0.5000
Pd2 Pd 0.1088 0.3921 0.0000
Pd3 Pd 0.4422 0.2296 0.0000
Pd4 Pd 0.5184 0.0578 0.5000
```

The 12 most intense peaks (2θ from 10° to 90°), low angle first:
(1 2 0), 2θ = 28.5°, intensity 265
(1 1 1), 2θ = 29.9°, intensity 124
(1 2 1), 2θ = 37.1°, intensity 1000
(4 0 0), 2θ = 43.8°, intensity 87
(3 1 1), 2θ = 46.1°, intensity 81
(0 0 2), 2θ = 47.6°, intensity 150
(2 3 0), 2θ = 47.9°, intensity 111
(4 1 0), 2θ = 50.5°, intensity 112
(1 2 2), 2θ = 56.4°, intensity 81
(2 4 1), 2θ = 64.4°, intensity 78
(4 1 2), 2θ = 71.9°, intensity 77
(1 2 3), 2θ = 81.6°, intensity 100